Diffraction record for Cd5Pt2Au2. The PXRD pattern is computed, not measured: it uses a PBE-relaxed structure and Cu Kα X-rays.

```
Cd5Pt2Au2
1.0
7.071 -3.615 0.000
7.071 3.615 0.000
0.000 0.000 7.228
Cd Pt Au
10 4 4
Cartesian
0.000 0.000 0.000
4.998 2.389 4.826
4.998 1.226 1.212
9.143 2.389 4.826
9.143 1.226 1.212
7.071 0.000 3.614
4.998 -1.226 6.015
4.998 -2.389 2.401
9.143 -1.226 6.015
9.143 -2.389 2.401
2.817 0.000 0.000
4.254 0.000 3.614
9.888 0.000 3.614
11.324 0.000 0.000
7.071 2.634 2.638
7.071 0.981 6.252
7.071 -0.981 0.976
7.071 -2.634 4.590
```

Top 12 peaks for 2θ = 10–90°, by intensity:
two_theta	I (rel.)
39.95	100
33.62	88
51.39	67
37.70	58
30.40	45
35.11	41
38.19	39
25.71	32
35.52	29
56.97	22
36.30	21
52.23	21

Diffraction record for Cd8Pt3Au2. The PXRD pattern is computed, not measured: it uses a PBE-relaxed structure and Cu Kα X-rays.

```
Cd8Pt3Au2
1.0
4.604 -6.580 0.000
4.604 6.580 0.000
0.000 0.000 4.612
Cd Pt Au
8 3 2
Cartesian
4.604 5.065 0.000
2.224 1.608 2.306
2.224 -1.608 2.306
4.604 1.716 0.000
4.604 -1.716 0.000
6.985 1.608 2.306
6.985 -1.608 2.306
4.604 -5.065 0.000
2.386 0.000 0.000
4.604 0.000 2.306
6.823 0.000 0.000
4.604 3.296 2.306
4.604 -3.296 2.306
```

Top 12 peaks for 2θ = 10–90°, by intensity:
two_theta	I (rel.)
38.90	100
39.09	50
23.57	35
70.70	33
56.48	17
70.31	17
46.16	12
83.51	10
55.89	8
11.73	8
45.82	6
61.77	5

Diffraction record for CdPtAu3. The PXRD pattern is computed, not measured: it uses a PBE-relaxed structure and Cu Kα X-rays.

```
CdPtAu3
1.0
2.438 -7.581 0.000
2.438 7.581 0.000
0.000 0.000 4.870
Cd Pt Au
2 2 6
Cartesian
2.438 5.270 3.653
2.438 -5.270 1.218
2.438 2.261 3.653
2.438 -2.261 1.218
2.438 6.795 1.218
2.438 3.775 1.218
2.438 0.747 1.218
2.438 -0.747 3.653
2.438 -3.775 3.653
2.438 -6.795 3.653
```

Top 12 peaks for 2θ = 10–90°, by intensity:
two_theta	I (rel.)
39.59	100
36.89	61
68.27	41
53.16	21
73.58	16
85.27	12
61.12	7
78.52	7
26.53	2
21.69	2
19.12	1
25.38	1

Diffraction record for CdPt4Au3. The PXRD pattern is computed, not measured: it uses a PBE-relaxed structure and Cu Kα X-rays.

```
CdPt4Au3
1.0
5.000 0.000 0.000
0.000 5.759 0.000
-1.582 0.000 9.416
Cd Pt Au
2 8 6
Cartesian
-0.396 0.747 2.354
-1.187 5.011 7.062
-1.187 2.186 7.062
-0.396 3.573 2.354
0.453 2.198 4.713
1.244 3.561 0.005
2.105 2.188 2.354
1.314 3.570 7.062
2.174 2.198 9.411
2.965 3.561 4.703
1.256 0.746 0.007
0.465 5.013 4.715
1.314 0.756 7.062
2.105 5.003 2.354
2.954 0.746 4.701
2.163 5.013 9.409
```

Top 12 peaks for 2θ = 10–90°, by intensity:
two_theta	I (rel.)
38.23	100
44.56	33
64.57	22
44.20	17
77.91	13
77.78	13
77.30	10
81.78	9
64.94	5
64.75	5
77.41	3
82.00	3

Diffraction record for Cd2Pt2Au. The PXRD pattern is computed, not measured: it uses a PBE-relaxed structure and Cu Kα X-rays.

```
Cd2Pt2Au
1.0
4.554 0.000 0.000
-2.277 3.944 0.000
0.000 0.000 10.802
Cd Pt Au
4 4 2
Cartesian
0.000 2.629 1.066
0.000 2.629 4.335
2.277 1.315 6.467
2.277 1.315 9.737
0.000 0.000 0.000
0.000 0.000 5.401
0.000 2.629 8.102
2.277 1.315 2.701
0.000 0.000 2.701
0.000 0.000 8.102
```

Top 12 peaks for 2θ = 10–90°, by intensity:
two_theta	I (rel.)
39.58	100
33.70	60
40.48	42
52.57	22
22.54	20
71.81	17
52.94	16
72.42	15
68.07	15
83.18	15
57.90	15
33.17	13

Diffraction record for Tb4CdPtAu2. The PXRD pattern is computed, not measured: it uses a PBE-relaxed structure and Cu Kα X-rays.

```
Tb4CdPtAu2
1.0
2.554 1.475 8.398
-2.554 1.475 8.398
0.000 -2.949 8.398
Tb Cd Pt Au
4 1 1 2
Cartesian
0.000 0.000 2.951
0.000 0.000 9.296
0.000 0.000 15.898
0.000 0.000 22.244
0.000 0.000 12.597
0.000 0.000 0.000
0.000 0.000 6.017
0.000 0.000 19.178
```

Top 12 peaks for 2θ = 10–90°, by intensity:
two_theta	I (rel.)
35.13	100
34.97	87
62.93	32
50.41	31
63.04	18
84.80	14
48.24	12
74.26	11
32.01	10
62.62	10
84.52	9
88.10	8

Diffraction record for PuCd8Au4. The PXRD pattern is computed, not measured: it uses a PBE-relaxed structure and Cu Kα X-rays.

```
PuCd8Au4
1.0
-4.990 4.990 2.815
4.990 -4.990 2.815
4.990 4.990 -2.815
Pu Cd Au
1 8 4
Cartesian
0.000 0.000 0.000
3.471 0.000 0.000
6.509 0.000 0.000
4.990 2.881 0.000
0.000 3.471 0.000
2.881 4.990 0.000
2.109 0.000 2.815
0.000 6.509 0.000
0.000 2.109 2.815
2.495 2.495 -1.408
2.495 -2.495 1.408
-2.495 2.495 1.408
2.495 2.495 1.408
```

Top 12 peaks for 2θ = 10–90°, by intensity:
two_theta	I (rel.)
36.65	100
36.16	77
36.00	75
41.02	63
40.42	41
31.23	39
65.14	35
17.78	28
52.32	25
76.74	22
25.24	19
59.51	18

Diffraction record for PuCdAu3. The PXRD pattern is computed, not measured: it uses a PBE-relaxed structure and Cu Kα X-rays.

```
PuCdAu3
1.0
6.886 0.000 0.000
-3.443 5.964 0.000
0.000 0.000 5.697
Pu Cd Au
2 2 6
Cartesian
0.000 3.976 1.424
3.443 1.988 4.273
0.000 0.000 0.000
0.000 0.000 2.849
0.000 2.385 4.273
-1.378 4.771 4.273
2.065 1.192 1.424
1.378 4.771 4.273
4.821 1.192 1.424
3.443 3.579 1.424
```

Top 12 peaks for 2θ = 10–90°, by intensity:
two_theta	I (rel.)
33.93	100
43.96	30
31.40	27
57.54	23
34.91	17
48.50	17
40.00	17
53.21	16
25.88	13
29.97	12
77.38	12
43.16	11

Diffraction record for Pu2Cd3Au3. The PXRD pattern is computed, not measured: it uses a PBE-relaxed structure and Cu Kα X-rays.

```
Pu2Cd3Au3
1.0
8.439 0.000 0.000
-4.219 7.308 0.000
0.000 0.000 2.990
Pu Cd Au
2 3 3
Cartesian
0.000 4.872 0.000
4.219 2.436 0.000
-0.999 1.730 0.000
1.998 0.000 0.000
3.220 5.578 0.000
-2.774 4.804 1.495
1.446 2.504 1.495
5.548 0.000 1.495
```

Top 12 peaks for 2θ = 10–90°, by intensity:
two_theta	I (rel.)
36.86	100
66.45	30
32.41	20
44.67	14
53.13	14
21.06	12
74.46	10
24.36	8
38.92	8
42.87	7
57.82	7
12.11	6

Diffraction record for PuCd4Au2. The PXRD pattern is computed, not measured: it uses a PBE-relaxed structure and Cu Kα X-rays.

```
PuCd4Au2
1.0
8.609 0.000 0.000
0.000 8.609 0.000
0.000 0.000 4.375
Pu Cd Au
2 8 4
Cartesian
0.000 0.000 0.000
4.304 4.304 2.187
0.849 2.973 2.187
1.331 5.153 0.000
2.973 0.849 2.187
3.455 7.277 0.000
5.153 1.331 0.000
5.636 7.760 2.187
7.277 3.455 0.000
7.760 5.636 2.187
1.586 7.023 2.187
2.718 2.718 0.000
5.890 5.890 0.000
7.023 1.586 2.187
```

Top 12 peaks for 2θ = 10–90°, by intensity:
two_theta	I (rel.)
30.94	100
35.95	63
41.27	33
43.34	32
37.48	30
38.97	29
61.39	22
23.10	22
77.52	22
32.90	19
29.34	18
48.30	12

Diffraction record for Rb5Cd2Au5. The PXRD pattern is computed, not measured: it uses a PBE-relaxed structure and Cu Kα X-rays.

```
Rb5Cd2Au5
1.0
7.477 -2.479 0.000
7.477 2.479 0.000
-3.141 0.000 12.340
Rb Cd Au
5 2 5
Cartesian
0.000 0.000 0.000
0.590 0.000 6.980
1.194 0.000 10.692
10.619 0.000 1.648
11.223 0.000 5.360
4.328 0.000 8.493
7.485 0.000 3.847
1.330 0.000 3.540
5.607 0.000 1.674
5.906 0.000 6.170
6.206 0.000 10.666
10.483 0.000 8.801
```

Top 12 peaks for 2θ = 10–90°, by intensity:
two_theta	I (rel.)
25.48	100
27.23	60
36.23	58
30.01	47
21.09	45
38.20	45
41.35	45
28.51	39
25.75	36
22.06	35
46.76	31
31.57	31

Diffraction record for RbCd10Au2. The PXRD pattern is computed, not measured: it uses a PBE-relaxed structure and Cu Kα X-rays.

```
RbCd10Au2
1.0
5.132 -5.975 0.000
5.132 5.975 0.000
0.000 0.000 10.004
Rb Cd Au
2 20 4
Cartesian
5.132 4.486 7.503
5.132 -4.486 2.501
2.857 1.524 7.503
5.132 4.097 1.025
5.132 4.097 3.977
2.254 0.000 0.000
2.254 0.000 5.002
3.618 1.473 2.501
5.132 1.423 5.389
5.132 1.423 9.617
2.857 -1.524 2.501
3.618 -1.473 7.503
6.647 1.473 2.501
7.407 1.524 7.503
5.132 -1.423 0.387
5.132 -1.423 4.615
6.647 -1.473 7.503
8.010 0.000 0.000
8.010 0.000 5.002
5.132 -4.097 6.026
5.132 -4.097 8.979
7.407 -1.524 2.501
2.566 2.987 0.000
2.566 2.987 5.002
2.566 -2.987 0.000
2.566 -2.987 5.002
```

Top 12 peaks for 2θ = 10–90°, by intensity:
two_theta	I (rel.)
39.27	100
34.98	76
32.58	36
35.44	35
34.75	35
35.91	31
40.11	27
39.47	22
17.28	19
17.73	16
63.95	14
30.70	14

Diffraction record for Rb11CdAu5. The PXRD pattern is computed, not measured: it uses a PBE-relaxed structure and Cu Kα X-rays.

```
Rb11CdAu5
1.0
6.659 -7.959 0.000
6.659 7.959 0.000
-2.902 0.000 8.319
Rb Cd Au
11 1 5
Cartesian
0.000 0.000 0.000
5.009 4.345 1.715
2.306 1.993 4.883
5.407 4.345 6.603
4.116 0.000 0.917
2.306 -1.993 4.883
8.110 1.993 3.436
6.300 0.000 7.402
5.009 -4.345 1.715
8.110 -1.993 3.436
5.407 -4.345 6.603
-1.451 0.000 4.159
1.807 2.757 1.596
1.807 -2.757 1.596
5.208 0.000 4.159
8.609 2.757 6.723
8.609 -2.757 6.723
```

Top 12 peaks for 2θ = 10–90°, by intensity:
two_theta	I (rel.)
26.80	100
26.47	76
12.01	62
24.14	60
35.53	36
35.10	33
25.30	30
39.09	28
29.94	28
31.54	26
18.15	23
40.33	22